Starting from the GGA-PBE geometry in Alexandria, the XRD peak list of Ce2Nd2Pb5 was computed for Cu Kα, 1.54184 Å.
Intensities are scaled so that the largest is 100.

Principal peaks in the range 10 to 90 degrees two-theta, low angle first:
2θ = 23.34°, d = 3.811 Å, I 26, (0 2 1)
2θ = 29.17°, d = 3.061 Å, I 100, (3 1 2)
2θ = 29.55°, d = 3.023 Å, I 95, (0 2 2)
2θ = 31.38°, d = 2.851 Å, I 89, (4 0 2)
2θ = 31.54°, d = 2.837 Å, I 89, (4 2 0)
2θ = 33.26°, d = 2.694 Å, I 81, (4 2 1)
2θ = 33.51°, d = 2.674 Å, I 56, (1 1 3)
2θ = 33.81°, d = 2.651 Å, I 57, (1 3 1)
2θ = 43.83°, d = 2.066 Å, I 27, (1 1 4)
2θ = 50.29°, d = 1.814 Å, I 26, (4 4 1)

Cell and atoms:
Cell lengths 15.2321, 8.5033, 8.5994 Å; angles 90.00, 90.00, 90.00 degrees
Space group Cmce (No. 64)
Symmetry-distinct sites (fractional):
Ce 0.0000 0.1175 0.1158 [8 per cell]
Nd 0.2119 0.0000 0.5000 [8 per cell]
Pb 0.0000 0.0000 0.5000 [4 per cell]
Pb 0.1373 0.1880 0.8133 [16 per cell]